Starting from a PBE+U-relaxed structure, the powder diffraction line list of NiS2O12 was calculated for Cu Kα X-rays.
Intensities are scaled so that the largest is 100.

Structural model:
```
NiS2O12
1.0
6.1591 0.0000 0.0000
2.2944 6.5080 0.0000
0.2223 0.9633 7.0172
Ni S O
1 2 12
direct
0.0000 0.0000 0.0000
0.0925 0.7232 0.7844
0.9075 0.2768 0.2156
0.0100 0.7275 0.9956
0.0806 0.2951 0.3377
0.0963 0.9538 0.7586
0.3221 0.5783 0.7728
0.4924 0.8665 0.2443
0.5002 0.1690 0.5832
0.4998 0.8310 0.4168
0.5076 0.1335 0.7557
0.6779 0.4217 0.2272
0.9037 0.0462 0.2414
0.9194 0.7049 0.6623
0.9900 0.2725 0.0044
```

Peak list (10 most intense, 15° ≤ 2θ ≤ 90°, by angle)
two_theta, I (rel.)
15.26, 60
16.82, 21
19.98, 100
22.05, 80
28.00, 22
28.86, 16
29.24, 16
30.79, 24
31.38, 11
39.60, 15